Calculated powder XRD pattern of GdTmFe2Ni8 for CuKα, from DFT lattice parameters and positions (PBE).
No peak broadening, texture or thermal motion is included.

Most intense lines, 10 to 90 degrees two-theta, by angle:
2.896 Å, 2θ 30.88, I = 56, (1 1 1)
2.470 Å, 2θ 36.38, I = 32, (0 2 0)
2.139 Å, 2θ 42.26, I = 38, (0 0 4)
2.092 Å, 2θ 43.25, I = 100, (1 2 0)
1.967 Å, 2θ 46.14, I = 26, (2 0 0)
1.539 Å, 2θ 60.13, I = 15, (2 2 0)
1.495 Å, 2θ 62.07, I = 15, (1 3 1)
1.448 Å, 2θ 64.34, I = 21, (2 0 4)
1.341 Å, 2θ 70.21, I = 22, (1 3 3)
1.235 Å, 2θ 77.27, I = 16, (0 4 0)

Atomic structure:
Unit cell a=3.935 b=4.939 c=8.555 alpha=90.00 beta=90.00 gamma=90.00
Space group Pmm2 (No. 25)
Symmetry-distinct sites (fractional):
Gd 0.000 0.000 0.000
Tm 0.000 0.500 0.500
Fe 0.000 0.000 0.335
Fe 0.000 0.500 0.831
Ni 0.000 0.000 0.664
Ni 0.000 0.500 0.169
Ni 0.500 0.000 0.500
Ni 0.500 0.251 0.747
Ni 0.500 0.253 0.252
Ni 0.500 0.500 0.000